Starting from a DFT-relaxed cell (PBE, Alexandria), the powder X-ray diffraction pattern of MgScCd3 was computed for λ = 1.5418 Å (Cu Kα).
Neutral-atom scattering factors, no anomalous dispersion.

Principal peaks in the range 2θ from 10° to 90°, in order of rising 2θ:
- hkl 0 0 2, d 6.772, I 35
- hkl 0 1 3, d 2.644, I 43
- hkl 1 1 -2, d 2.536, I 100
- hkl 2 0 0, d 2.510, I 46
- hkl 1 0 5, d 2.384, I 76
- hkl 2 1 3, d 1.820, I 27

Structure:
a b c (Å): 5.020 3.262 13.545
angles (deg): 90.00 90.01 90.00
Space group P2/m (No. 10)
Inequivalent atoms, fractional coordinates:
Mg (0.250, 0.000, 0.246) x2
Sc (0.250, 0.500, 0.652) x2
Cd (0.249, 0.500, 0.060) x2
Cd (0.250, 0.000, 0.448) x2
Cd (0.250, 0.000, 0.857) x2

---

Starting from a DFT-relaxed cell (PBE, Alexandria), the powder X-ray diffraction pattern of RbYIn2Br6 was computed for λ = 1.5418 Å (Cu Kα).
Neutral-atom scattering factors, no anomalous dispersion.

Principal peaks in the range 2θ from 10° to 90°, in order of rising 2θ:
- hkl 0 1 -1, d 5.901, I 43
- hkl 1 0 -2, d 4.248, I 45
- hkl 2 -1 0, d 3.547, I 100
- hkl 1 1 1, d 2.677, I 98
- hkl 1 2 0, d 2.395, I 43
- hkl 3 0 -2, d 2.368, I 62

Structure:
a b c (Å): 8.195 8.205 8.505
angles (deg): 90.03 118.80 119.95
Space group P1 (No. 1)
Inequivalent atoms, fractional coordinates:
Rb (0.000, 0.000, 0.000) x1
Y (0.979, 0.489, 0.468) x1
In (0.581, 0.290, 0.871) x1
In (0.598, 0.800, 0.397) x1
Br (0.081, 0.408, 0.213) x1
Br (0.086, 0.255, 0.679) x1
Br (0.424, 0.831, 0.679) x1
Br (0.541, 0.133, 0.213) x1
Br (0.805, 0.672, 0.212) x1
Br (0.848, 0.594, 0.679) x1

---

Starting from a DFT-relaxed cell (PBE, Alexandria), the powder X-ray diffraction pattern of Mg2PaRh2 was computed for λ = 1.5418 Å (Cu Kα).
Neutral-atom scattering factors, no anomalous dispersion.

Principal peaks in the range 2θ from 10° to 90°, in order of rising 2θ:
- hkl 1 1 0, d 5.294, I 100
- hkl 1 2 -1, d 2.767, I 57
- hkl 2 1 2, d 2.501, I 45
- hkl 2 2 -1, d 2.482, I 51
- hkl 3 0 -2, d 2.362, I 54
- hkl 0 2 2, d 2.318, I 44

Structure:
a b c (Å): 9.566 6.357 6.781
angles (deg): 90.00 91.98 90.00
Space group P2_1/c (No. 14)
Inequivalent atoms, fractional coordinates:
Mg (0.004, 0.248, 0.049) x4
Mg (0.289, 0.171, 0.394) x4
Pa (0.342, 0.672, 0.515) x4
Rh (0.186, 0.539, 0.231) x4
Rh (0.483, 0.063, 0.710) x4